No. 1
Structure and computed X-ray diffraction stick pattern of Mg2C3ClO15 (a structure optimized by DFT (GGA-PBE); copper Kα).
Lines closer than 0.1° are merged.

The 10 most intense peaks (10 to 80 degrees two-theta), by angle:
two_theta	I (rel.)	(hkl)
15.02	35	0 1 2
16.85	46	1 0 4
25.88	100	1 1 3
26.41	64	1 0 10
26.53	51	0 0 12
28.37	70	1 1 6
38.89	25	1 2 2
40.27	55	1 2 5
44.92	65	2 1 10
46.55	32	0 2 16

Atomic structure:
```
data_Mg2C3ClO15
_chemical_formula_sum 'Mg12 C18 Cl6 O90'
_cell_length_a 7.1217
_cell_length_b 7.1217
_cell_length_c 40.3126
_cell_angle_alpha 90.00
_cell_angle_beta 90.00
_cell_angle_gamma 120.00
_space_group_name_H-M_alt 'R -3 c'
_space_group_IT_number 167
_space_group_name_Hall '-R 3 2"c'
loop_
_atom_site_label
_atom_site_type_symbol
_atom_site_fract_x
_atom_site_fract_y
_atom_site_fract_z
Mg1 Mg 0.0000 0.0000 0.1946
C1 C 0.0000 0.3185 0.2500
Cl1 Cl 0.0000 0.0000 0.0000
O1 O 0.0000 0.4978 0.2500
O2 O 0.0408 0.2527 0.2770
O3 O 0.0574 0.2694 0.6633
```



No. 2
Structure and computed X-ray diffraction stick pattern of CeAgP2Se6 (a structure optimized by DFT (GGA-PBE); copper Kα).
Lines closer than 0.1° are merged.

The 10 most intense peaks (10 to 80 degrees two-theta), by angle:
two_theta	I (rel.)	(hkl)
29.56	30	1 0 2
29.82	100	0 2 2
30.09	40	2 1 -1
30.63	68	2 1 -3
31.93	64	1 1 2
32.47	42	2 0 -4
32.70	25	1 1 -4
36.09	59	0 0 4
36.69	33	2 2 -1
55.74	33	4 1 -4

Atomic structure:
```
data_CeAgP2Se6
_chemical_formula_sum 'Ce2 Ag2 P4 Se12'
_cell_length_a 6.763
_cell_length_b 7.501
_cell_length_c 11.856
_cell_angle_alpha 90.00
_cell_angle_beta 122.81
_cell_angle_gamma 90.00
_space_group_name_H-M_alt 'P 1 c 1'
_space_group_IT_number 7
_space_group_name_Hall 'P -2yc'
loop_
_atom_site_label
_atom_site_type_symbol
_atom_site_fract_x
_atom_site_fract_y
_atom_site_fract_z
Ce1 Ce 0.000 0.138 0.000
Ag1 Ag 0.573 0.322 0.484
P1 P 0.656 0.144 0.183
P2 P 0.914 0.359 0.310
Se1 Se 0.041 0.462 0.187
Se2 Se 0.188 0.235 0.504
Se3 Se 0.409 0.268 0.986
Se4 Se 0.488 0.041 0.287
Se5 Se 0.684 0.453 0.830
Se6 Se 0.883 0.072 0.683
```



No. 3
Structure and computed X-ray diffraction stick pattern of Na6ScNb3Si6O24 (a structure optimized by DFT (GGA-PBE); copper Kα).
Lines closer than 0.1° are merged.

The 10 most intense peaks (10 to 80 degrees two-theta), by angle:
two_theta	I (rel.)	(hkl)
13.68	26	1 0 -1
19.39	65	-1 1 1
19.52	100	2 -1 0
22.81	35	-2 1 1
27.56	27	2 0 -2
27.92	20	2 -2 2
30.90	54	1 1 1
31.19	31	1 -2 3
33.99	55	0 3 -2
34.25	25	3 -3 1

Atomic structure:
```
data_Na6ScNb3Si6O24
_chemical_formula_sum 'Na6 Sc1 Nb3 Si6 O24'
_cell_length_a 9.085
_cell_length_b 9.094
_cell_length_c 9.098
_cell_angle_alpha 119.60
_cell_angle_beta 90.65
_cell_angle_gamma 119.50
_space_group_name_H-M_alt 'P 1'
_space_group_IT_number 1
_space_group_name_Hall 'P 1'
loop_
_atom_site_label
_atom_site_type_symbol
_atom_site_fract_x
_atom_site_fract_y
_atom_site_fract_z
Na1 Na 0.000 0.000 0.000
Na2 Na 0.093 0.516 0.274
Na3 Na 0.191 0.005 0.523
Na4 Na 0.326 0.641 0.957
Na5 Na 0.587 0.507 0.762
Na6 Na 0.856 0.393 0.555
Sc1 Sc 0.238 0.798 0.692
Nb1 Nb 0.445 0.221 0.325
Nb2 Nb 0.731 0.796 0.198
Nb3 Nb 0.940 0.218 0.831
Si1 Si 0.044 0.713 0.011
Si2 Si 0.131 0.297 0.509
Si3 Si 0.340 0.298 0.001
Si4 Si 0.543 0.003 0.507
Si5 Si 0.631 0.013 0.012
Si6 Si 0.830 0.714 0.516
O1 O 0.032 0.522 0.002
O2 O 0.070 0.707 0.834
O3 O 0.092 0.299 0.688
O4 O 0.136 0.478 0.511
O5 O 0.164 0.311 0.005
O6 O 0.224 0.931 0.188
O7 O 0.292 0.090 0.820
O8 O 0.311 0.297 0.501
O9 O 0.355 0.847 0.507
O10 O 0.377 0.286 0.175
O11 O 0.452 0.862 0.843
O12 O 0.503 0.505 0.021
O13 O 0.538 0.182 0.505
O14 O 0.592 0.885 0.331
O15 O 0.595 0.149 0.194
O16 O 0.658 0.519 0.506
O17 O 0.665 0.858 0.029
O18 O 0.726 0.139 0.681
O19 O 0.782 0.721 0.345
O20 O 0.819 0.172 0.003
O21 O 0.862 0.706 0.029
O22 O 0.881 0.934 0.697
O23 O 0.960 0.073 0.334
O24 O 0.998 0.696 0.510
```



No. 4
Structure and computed X-ray diffraction stick pattern of TmRh (a structure optimized by DFT (GGA-PBE); copper Kα).
Lines closer than 0.1° are merged.

The 6 most intense peaks (10 to 80 degrees two-theta), by angle:
two_theta	I (rel.)	(hkl)
26.34	6	1 0 0
37.60	100	1 1 0
46.50	2	1 1 1
54.23	17	2 0 0
61.27	3	2 1 0
67.86	35	2 1 1

Atomic structure:
```
data_TmRh
_chemical_formula_sum 'Tm1 Rh1'
_cell_length_a 3.383
_cell_length_b 3.383
_cell_length_c 3.383
_cell_angle_alpha 90.00
_cell_angle_beta 90.00
_cell_angle_gamma 90.00
_space_group_name_H-M_alt 'P m -3 m'
_space_group_IT_number 221
_space_group_name_Hall '-P 4 2 3'
loop_
_atom_site_label
_atom_site_type_symbol
_atom_site_fract_x
_atom_site_fract_y
_atom_site_fract_z
Tm1 Tm 0.000 0.000 0.000
Rh1 Rh 0.500 0.500 0.500
```



No. 5
Structure and computed X-ray diffraction stick pattern of Pm3Sc (a structure optimized by DFT (GGA-PBE); copper Kα).
Lines closer than 0.1° are merged.

The 10 most intense peaks (10 to 80 degrees two-theta), by angle:
two_theta	I (rel.)	(hkl)
21.06	15	1 0 1
28.56	24	2 0 0
31.29	25	0 0 2
32.65	100	2 0 1
42.87	16	2 0 2
50.58	19	2 2 0
56.55	21	2 0 3
60.68	22	2 2 2
61.51	16	4 0 1
79.27	8	4 0 3

Atomic structure:
```
data_Pm3Sc
_chemical_formula_sum 'Pm6 Sc2'
_cell_length_a 7.2186
_cell_length_b 7.2186
_cell_length_c 5.7182
_cell_angle_alpha 90.00
_cell_angle_beta 90.00
_cell_angle_gamma 120.00
_space_group_name_H-M_alt 'P 63/m m c'
_space_group_IT_number 194
_space_group_name_Hall '-P 6c 2c'
loop_
_atom_site_label
_atom_site_type_symbol
_atom_site_fract_x
_atom_site_fract_y
_atom_site_fract_z
Pm1 Pm 0.1697 0.3394 0.2500
Sc1 Sc 0.3333 0.6667 0.7500
```



No. 6
Structure and computed X-ray diffraction stick pattern of BaSiP4H2O14 (a structure optimized by DFT (GGA-PBE); copper Kα).
Lines closer than 0.1° are merged.

The 10 most intense peaks (10 to 80 degrees two-theta), by angle:
two_theta	I (rel.)	(hkl)
14.10	66	0 1 0
19.64	48	1 0 0
21.51	52	0 1 2
21.95	65	1 0 1
25.09	66	1 1 -1
26.62	100	1 1 2
27.29	70	0 1 -2
27.72	68	0 2 1
28.40	68	0 2 0
31.76	50	-1 1 2

Atomic structure:
```
data_BaSiP4H2O14
_chemical_formula_sum 'Ba1 Si1 P4 H2 O14'
_cell_length_a 4.672
_cell_length_b 6.696
_cell_length_c 9.180
_cell_angle_alpha 75.22
_cell_angle_beta 85.57
_cell_angle_gamma 75.35
_space_group_name_H-M_alt 'P -1'
_space_group_IT_number 2
_space_group_name_Hall '-P 1'
loop_
_atom_site_label
_atom_site_type_symbol
_atom_site_fract_x
_atom_site_fract_y
_atom_site_fract_z
Ba1 Ba 0.000 0.000 0.000
Si1 Si 0.000 0.000 0.500
P1 P 0.096 0.562 0.738
P2 P 0.414 0.167 0.666
H1 H 0.454 0.458 0.170
O1 O 0.069 0.228 0.364
O2 O 0.118 0.555 0.167
O3 O 0.152 0.075 0.647
O4 O 0.287 0.424 0.629
O5 O 0.320 0.607 0.837
O6 O 0.353 0.852 0.459
O7 O 0.490 0.912 0.172
```



No. 7
Structure and computed X-ray diffraction stick pattern of Rb2CeAgI6 (a structure optimized by DFT (GGA-PBE); copper Kα).
Lines closer than 0.1° are merged.

The 10 most intense peaks (10 to 80 degrees two-theta), by angle:
two_theta	I (rel.)	(hkl)
14.38	42	2 0 0
25.04	64	2 2 2
28.99	100	4 0 0
32.50	23	4 2 0
41.46	75	4 4 0
44.10	12	6 0 0
49.04	30	6 2 2
51.38	26	4 4 4
68.06	34	8 4 0
75.62	25	8 4 4

Atomic structure:
```
data_Rb2CeAgI6
_chemical_formula_sum 'Rb8 Ce4 Ag4 I24'
_cell_length_a 12.321
_cell_length_b 12.321
_cell_length_c 12.321
_cell_angle_alpha 90.00
_cell_angle_beta 90.00
_cell_angle_gamma 90.00
_space_group_name_H-M_alt 'F m -3 m'
_space_group_IT_number 225
_space_group_name_Hall '-F 4 2 3'
loop_
_atom_site_label
_atom_site_type_symbol
_atom_site_fract_x
_atom_site_fract_y
_atom_site_fract_z
Rb1 Rb 0.250 0.250 0.250
Ce1 Ce 0.000 0.000 0.000
Ag1 Ag 0.000 0.000 0.500
I1 I 0.000 0.000 0.253
```



No. 8
Structure and computed X-ray diffraction stick pattern of Ba3LaRu2O9 (a structure optimized by DFT (GGA-PBE); copper Kα).
Lines closer than 0.1° are merged.

The 10 most intense peaks (10 to 80 degrees two-theta), by angle:
two_theta	I (rel.)	(hkl)
24.60	22	1 0 3
29.23	74	1 0 4
29.69	100	1 1 0
38.92	17	2 0 3
42.15	43	2 0 4
45.55	16	1 0 7
52.40	27	2 1 4
52.68	20	3 0 0
55.31	14	2 0 7
61.64	19	2 2 0

Atomic structure:
```
data_Ba3LaRu2O9
_chemical_formula_sum 'Ba6 La2 Ru4 O18'
_cell_length_a 6.0185
_cell_length_b 6.0185
_cell_length_c 15.0858
_cell_angle_alpha 90.00
_cell_angle_beta 90.00
_cell_angle_gamma 120.00
_space_group_name_H-M_alt 'P 63/m m c'
_space_group_IT_number 194
_space_group_name_Hall '-P 6c 2c'
loop_
_atom_site_label
_atom_site_type_symbol
_atom_site_fract_x
_atom_site_fract_y
_atom_site_fract_z
Ba1 Ba 0.0000 0.0000 0.2500
Ba2 Ba 0.3333 0.6667 0.1055
La1 La 0.0000 0.0000 0.0000
Ru1 Ru 0.3333 0.6667 0.6672
O1 O 0.0181 0.5091 0.7500
O2 O 0.1787 0.3574 0.5943
```